# Dy2Er5Te2Ir2
Computed powder diffraction line list, Cu Kα (weighted mean of Kα1 and Kα2). Input: a DFT-relaxed cell (GGA-PBE, OQMD).

Top 12 peaks for 10° ≤ 2θ ≤ 90°, by angle:
hkl, Position (°2θ), I_rel
0 2 0, 11.31, 22
1 3 0, 28.49, 11
0 5 1, 30.08, 19
1 1 2, 30.19, 37
0 3 3, 33.26, 44
1 4 1, 33.73, 100
1 3 2, 34.36, 48
1 0 3, 36.63, 22
1 2 3, 38.46, 26
0 6 2, 39.47, 11
2 0 0, 46.35, 33
2 3 3, 58.22, 18

Cell and atoms:
Cell: 3.919 15.651 9.436 Å, 90.00 90.00 90.00°
Space group Imm2 (No. 44)
One atom of each set of equivalent atoms:
Dy  0.000  0.146  0.000
Er  0.000  0.184  0.641
Er  0.000  0.368  0.851
Er  0.000  0.500  0.268
Te  0.000  0.000  0.504
Te  0.000  0.500  0.606
Ir  0.000  0.262  0.340